[1]
For CaAl2Si2O10, a PBE-relaxed structure gives the calculated powder XRD pattern in this record (Cu Kα, 1.54184 Å).
Kinematic intensities with the Lorentz-polarization factor, no thermal factor.

Crystal structure
```
CaAl2Si2O10
1.0
3.0915 -3.9815 0.0000
3.0915 3.9815 0.0000
0.0000 0.0000 13.2683
Ca Al Si O
2 4 4 20
Direct
0.1448 0.8552 0.7500
0.8552 0.1448 0.2500
0.0000 0.5000 0.0000
0.0000 0.5000 0.5000
0.5000 0.0000 0.0000
0.5000 0.0000 0.5000
0.4690 0.5310 0.1352
0.4690 0.5310 0.3648
0.5310 0.4690 0.6352
0.5310 0.4690 0.8648
0.0793 0.9207 0.0282
0.0793 0.9207 0.4718
0.1399 0.4275 0.1214
0.1399 0.4275 0.3786
0.1510 0.8490 0.2500
0.3653 0.6347 0.5588
0.3653 0.6347 0.9412
0.4275 0.1399 0.6214
0.4275 0.1399 0.8786
0.4458 0.5542 0.7500
0.5542 0.4458 0.2500
0.5725 0.8601 0.1214
0.5725 0.8601 0.3786
0.6347 0.3653 0.0588
0.6347 0.3653 0.4412
0.8490 0.1510 0.7500
0.8601 0.5725 0.6214
0.8601 0.5725 0.8786
0.9207 0.0793 0.5282
0.9207 0.0793 0.9718
```

Largest 10 diffraction maxima, by angle, 2θ from 10° to 80°:
Position (°2θ), d/Å, I (rel.)
18.17, 4.884, 34.8
23.33, 3.814, 40.7
31.94, 2.802, 34.5
32.63, 2.744, 100.0
36.82, 2.441, 73.1
39.34, 2.290, 67.8
42.29, 2.137, 43.4
59.83, 1.546, 27.7
62.12, 1.494, 49.5
68.39, 1.372, 24.6

---

[2]
For Ba2Ti6O13, a PBE-relaxed structure gives the calculated powder XRD pattern in this record (Cu Kα, 1.54184 Å).
Kinematic intensities with the Lorentz-polarization factor, no thermal factor.

Crystal structure
```
Ba2Ti6O13
1.0
7.5585 -1.9937 0.0000
7.5585 1.9937 0.0000
-1.2958 0.0000 9.0942
Ba Ti O
2 6 13
Direct
0.0514 0.0514 0.2791
0.9486 0.9486 0.7209
0.2516 0.2516 0.7231
0.3309 0.3309 0.0556
0.3777 0.3777 0.4006
0.6223 0.6223 0.5994
0.6691 0.6691 0.9444
0.7484 0.7484 0.2769
0.1261 0.1261 0.6121
0.1989 0.1989 0.9306
0.2579 0.2579 0.2556
0.3266 0.3266 0.5808
0.3693 0.3693 0.8785
0.4281 0.4281 0.1974
0.5000 0.5000 0.5000
0.5719 0.5719 0.8026
0.6307 0.6307 0.1215
0.6734 0.6734 0.4192
0.7421 0.7421 0.7444
0.8011 0.8011 0.0694
0.8739 0.8739 0.3879
```

Largest 10 diffraction maxima, by angle, 2θ from 10° to 80°:
Position (°2θ), d/Å, I (rel.)
19.52, 4.547, 53.1
28.67, 3.114, 94.9
29.48, 3.030, 100.0
29.85, 2.994, 55.9
30.96, 2.888, 50.3
31.16, 2.870, 64.4
33.41, 2.682, 43.1
43.57, 2.077, 55.1
43.79, 2.067, 46.5
45.52, 1.993, 89.8

---

[3]
For La2MgNbO6, a PBE-relaxed structure gives the calculated powder XRD pattern in this record (Cu Kα, 1.54184 Å).
Kinematic intensities with the Lorentz-polarization factor, no thermal factor.

Crystal structure
```
La2MgNbO6
1.0
5.7093 0.0000 0.0000
0.0000 5.7346 0.0000
-5.7008 0.0000 8.0339
La Mg Nb O
4 2 2 12
Direct
0.2411 0.0562 0.2508
0.2411 0.4438 0.7508
0.7589 0.5562 0.2492
0.7589 0.9438 0.7492
0.0000 0.0000 0.5000
0.0000 0.5000 0.0000
0.5000 0.0000 0.0000
0.5000 0.5000 0.5000
0.1578 0.1957 0.9542
0.1578 0.3043 0.4542
0.2435 0.7065 0.9462
0.2435 0.7935 0.4462
0.3453 0.0179 0.7508
0.3453 0.4821 0.2508
0.6547 0.5179 0.7492
0.6547 0.9821 0.2492
0.7565 0.2065 0.5538
0.7565 0.2935 0.0538
0.8422 0.6957 0.5458
0.8422 0.8043 0.0458
```

Largest 10 diffraction maxima, by angle, 2θ from 10° to 80°:
Position (°2θ), d/Å, I (rel.)
19.05, 4.660, 12.3
21.97, 4.046, 9.8
24.64, 3.614, 10.5
31.19, 2.867, 16.1
31.37, 2.851, 100.0
44.80, 2.023, 18.0
45.14, 2.008, 12.0
51.70, 1.768, 10.2
55.81, 1.647, 19.6
55.91, 1.644, 12.3